Computed powder diffractogram
Compound: PuAgPd4
Radiation: Cu Kα
Structure: a cell relaxed with GGA-PBE
Kinematic intensities with the Lorentz-polarization factor, no thermal factor.

Crystal structure
```
PuAgPd4
1.0
2.922 0.000 0.000
0.000 4.135 0.000
0.000 0.000 8.664
Pu Ag Pd
1 1 4
Cartesian
0.000 0.000 0.000
1.461 2.068 4.332
0.000 0.000 2.875
0.000 0.000 5.789
1.461 2.068 1.552
1.461 2.068 7.112
```

Principal peaks in the range 10° ≤ 2θ ≤ 90°, by intensity:
2θ 37.7, intensity 1000; 2θ 38.0, intensity 963; 2θ 44.1, intensity 631; 2θ 63.9, intensity 414; 2θ 76.6, intensity 365; 2θ 43.8, intensity 327; 2θ 77.2, intensity 228; 2θ 10.2, intensity 185; 2θ 76.4, intensity 125; 2θ 23.8, intensity 109

Computed powder diffractogram
Compound: RbAgPd
Radiation: Cu Kα
Structure: a cell relaxed with GGA-PBE
Kinematic intensities with the Lorentz-polarization factor, no thermal factor.

Crystal structure
```
RbAgPd
1.0
3.243 0.000 0.000
0.000 4.461 0.000
0.000 0.000 5.870
Rb Ag Pd
1 1 1
Cartesian
0.000 0.000 0.000
0.000 2.230 2.935
1.621 0.000 2.935
```

Principal peaks in the range 10° ≤ 2θ ≤ 90°, by intensity:
2θ 37.6, intensity 1000; 2θ 15.1, intensity 464; 2θ 30.5, intensity 445; 2θ 58.9, intensity 259; 2θ 40.4, intensity 202; 2θ 51.5, intensity 197; 2θ 71.6, intensity 143; 2θ 46.4, intensity 129; 2θ 25.1, intensity 128; 2θ 34.2, intensity 124